Simulated PXRD pattern
Compound: CsMnO4
Radiation: Cu Kα (λ = 1.5418 Å)
Structure: the PBE+U geometry in Alexandria
No peak broadening, texture or thermal motion is included.

Atomic structure:
```
24
Lattice="10.221 0.000 0.000 0.000 5.978 0.000 0.000 0.000 8.133" Properties=species:S:1:pos:R:3 pbc="T T T"
Cs 1.932 1.495 1.256
Cs 3.178 4.484 5.322
Cs 7.043 1.495 2.811
Cs 8.288 4.484 6.877
Mn 0.516 1.495 5.738
Mn 4.594 4.484 1.672
Mn 5.627 1.495 6.461
Mn 9.704 4.484 2.395
O 0.802 0.173 6.636
O 0.802 2.816 6.636
O 1.030 4.484 2.868
O 1.505 1.495 4.459
O 3.605 4.484 0.392
O 4.080 1.495 6.934
O 4.308 3.162 2.569
O 4.308 5.805 2.569
O 5.912 0.173 5.564
O 5.912 2.816 5.564
O 6.140 4.484 1.199
O 6.615 1.495 7.741
O 8.716 4.484 3.674
O 9.191 1.495 5.265
O 9.419 3.162 1.497
O 9.419 5.805 1.497
```

The 6 most intense peaks (10 to 90 degrees two-theta), by angle:
hkl  Position (°2θ)  d (Å)  I_rel
2 1 0  22.89  3.884  67
1 0 2  23.55  3.778  43
2 1 1  25.41  3.505  100
1 1 2  27.94  3.194  39
0 2 0  29.89  2.989  36
1 2 2  38.38  2.345  43